This entry pairs a crystal structure of CsBa2Co2F9 with its calculated powder diffractogram. Radiation: Cu Kα (λ = 1.5418 Å). Structure: the GGA+U geometry in Alexandria.
Intensities are scaled so that the largest is 100.

Crystal structure
```
data_CsBa2Co2F9
_cell_length_a 6.0011
_cell_length_b 6.0011
_cell_length_c 21.4573
_cell_angle_alpha 90.00
_cell_angle_beta 90.00
_cell_angle_gamma 120.00
_symmetry_space_group_name_H-M 'R 3 m'
_symmetry_Int_Tables_number 160
_symmetry_space_group_name_Hall 'R 3 -2"'
loop_
_atom_site_label
_atom_site_fract_x
_atom_site_fract_y
_atom_site_fract_z
Cs1 0.0000 0.0000 0.0000
Ba1 0.0000 0.0000 0.5784
Ba2 0.0000 0.0000 0.7849
Co1 0.0000 0.0000 0.1753
Co2 0.0000 0.0000 0.3910
F1 0.0039 0.5020 0.5533
F2 0.1720 0.3440 0.3479
F3 0.1736 0.3472 0.1219
```

Most intense lines, 10 to 90 degrees two-theta, by angle:
- 26.9 deg, I = 100
- 29.8 deg, I = 80
- 40.6 deg, I = 62
- 45.8 deg, I = 25
- 51.1 deg, I = 35
- 61.8 deg, I = 20